Starting from a GGA+U-relaxed structure, the powder diffractogram of BaTlCrO4 was simulated for a wavelength of 1.5418 Å.

Main lines, in order of falling intensity (2θ from 10° to 90°):
2θ (°), I (rel.)
27.64, 1000
14.21, 875
20.70, 693
30.18, 471
21.66, 319
32.46, 287
42.10, 256
37.45, 255
26.16, 245
38.39, 236
43.07, 234
35.40, 216

Unit cell a=6.8127 b=5.9238 c=8.4115 alpha=90.00 beta=113.77 gamma=90.00
Fractional positions:
Ba1 0.1461 0.2500 0.3878
Ba2 0.8539 0.7500 0.6122
Tl1 0.4770 0.7500 0.1250
Tl2 0.5230 0.2500 0.8750
Cr1 0.3725 0.7500 0.6459
Cr2 0.6275 0.2500 0.3541
O1 0.2282 0.5142 0.6673
O2 0.2282 0.9858 0.6673
O3 0.3692 0.7500 0.4427
O4 0.3785 0.2500 0.1886
O5 0.6215 0.7500 0.8114
O6 0.6308 0.2500 0.5573
O7 0.7718 0.0142 0.3327
O8 0.7718 0.4858 0.3327